Entry 1:
Computed powder diffraction line list
Compound: La3Sb5Pt6
Radiation: Cu Kα X-rays
Structure: a crystal structure in Alexandria, relaxed with PBE
Lines closer than 0.1° are merged.

Top 10 peaks for 15 to 90 degrees two-theta, low angle first:
d [Å], Rel. int., h k l
5.182, 16, 0 0 2
2.747, 15, 0 3 3
2.738, 19, 1 0 3
2.716, 100, 1 3 2
2.325, 18, 1 5 0
2.265, 24, 0 6 0
2.245, 36, 2 0 0
2.011, 23, 1 3 4
1.595, 16, 2 6 0
1.519, 13, 1 3 6

Structure:
a = 4.490 Å, b = 13.592 Å, c = 10.365 Å
α = 90.00°, β = 90.00°, γ = 90.00°
Positions (direct):
La 0.250 0.077 0.246
La 0.250 0.423 0.246
La 0.250 0.750 0.258
La 0.750 0.250 0.742
La 0.750 0.577 0.754
La 0.750 0.923 0.754
Sb 0.250 0.073 0.617
Sb 0.250 0.427 0.617
Sb 0.250 0.614 0.988
Sb 0.250 0.750 0.700
Sb 0.250 0.886 0.988
Sb 0.750 0.114 0.012
Sb 0.750 0.250 0.300
Sb 0.750 0.386 0.012
Sb 0.750 0.573 0.383
Sb 0.750 0.927 0.383
Pt 0.250 0.072 0.873
Pt 0.250 0.250 0.012
Pt 0.250 0.250 0.487
Pt 0.250 0.428 0.873
Pt 0.250 0.613 0.513
Pt 0.250 0.887 0.513
Pt 0.750 0.113 0.487
Pt 0.750 0.387 0.487
Pt 0.750 0.572 0.127
Pt 0.750 0.750 0.513
Pt 0.750 0.750 0.988
Pt 0.750 0.928 0.127

Entry 2:
Computed powder diffraction line list
Compound: Sm3Er2Ag2
Radiation: Cu Kα X-rays
Structure: a crystal structure in Alexandria, relaxed with PBE
Lines closer than 0.1° are merged.

Top 10 peaks for 15 to 90 degrees two-theta, low angle first:
d [Å], Rel. int., h k l
3.069, 32, 2 0 -3
2.896, 70, 1 1 -2
2.871, 61, 2 0 2
2.827, 100, 3 1 -1
2.703, 54, 3 1 0
2.667, 58, 4 0 -3
2.652, 36, 3 1 -2
2.548, 51, 1 1 2
2.341, 32, 1 1 -3
1.865, 32, 0 2 0

Structure:
a = 13.014 Å, b = 3.730 Å, c = 9.220 Å
α = 90.00°, β = 115.28°, γ = 90.00°
Positions (direct):
Sm 0.000 0.000 0.000
Sm 0.110 0.000 0.445
Sm 0.390 0.500 0.555
Sm 0.500 0.500 0.000
Sm 0.610 0.500 0.445
Sm 0.890 0.000 0.555
Er 0.147 0.500 0.813
Er 0.353 0.000 0.187
Er 0.647 0.000 0.813
Er 0.853 0.500 0.187
Ag 0.178 0.500 0.222
Ag 0.322 0.000 0.778
Ag 0.678 0.000 0.222
Ag 0.822 0.500 0.778